Entry 1:
The following is a calculated X-ray diffraction stick pattern of SrLi2IrF8. It was derived from a DFT-relaxed cell (PBE, Alexandria), using Cu Kα (weighted mean of Kα1 and Kα2).

a = 4.6718 Å, b = 5.0581 Å, c = 7.1698 Å
α = 83.23°, β = 85.06°, γ = 82.88°
Fractional positions:
Sr  0.0000  0.0000  0.0000
Li  0.4644  0.4617  0.2102
Li  0.5356  0.5383  0.7898
Ir  0.0000  0.0000  0.5000
F  0.1827  0.7744  0.7158
F  0.1939  0.7810  0.3026
F  0.2920  0.2443  0.4602
F  0.3649  0.2940  0.9963
F  0.6351  0.7060  0.0037
F  0.7080  0.7557  0.5398
F  0.8061  0.2190  0.6974
F  0.8173  0.2256  0.2842

Top 10 peaks for 2θ from 10° to 90°, sorted by position:
(hkl)  two_theta  Rel. int.
0 0 1  12.47  40
0 1 0  17.78  100
1 0 0  19.20  77
1 1 0  24.70  58
0 0 2  25.08  46
1 -1 0  27.77  41
0 1 2  29.25  36
-1 1 2  37.39  31
1 -1 2  38.14  33
1 2 0  38.99  26

***

Entry 2:
The following is a calculated X-ray diffraction stick pattern of MgIr3F. It was derived from a DFT-relaxed cell (PBE, Alexandria), using Cu Kα (weighted mean of Kα1 and Kα2).

a = 4.2888 Å, b = 4.2888 Å, c = 4.2888 Å
α = 90.00°, β = 90.00°, γ = 90.00°
Fractional positions:
Mg  0.0000  0.0000  0.0000
Ir  0.0000  0.5000  0.5000
Ir  0.5000  0.0000  0.5000
Ir  0.5000  0.5000  0.0000
F  0.5000  0.5000  0.5000

Top 10 peaks for 2θ from 10° to 90°, sorted by position:
(hkl)  two_theta  Rel. int.
1 0 0  20.71  31
1 1 0  29.45  16
1 1 1  36.28  100
2 0 0  42.14  57
2 1 0  47.40  14
2 1 1  52.25  7
2 2 0  61.12  38
3 0 0  65.27  7
3 1 1  73.19  40
2 2 2  77.02  13